1.
Structure and computed powder diffraction line list of SrIn5Ag3 (a crystal structure in Alexandria, relaxed with GGA-PBE; a wavelength of 1.5418 Å).
No peak broadening, texture or thermal motion is included.

Most intense lines, 2θ = 15–90°, low angle first:
two_theta, I (rel.)
27.29, 411
28.00, 943
29.96, 642
32.50, 1000
36.90, 771
37.45, 419
37.57, 768
39.00, 628
40.82, 808
41.56, 682

Structural model:
abc: 7.625 7.625 14.518
angles: 90.00 90.00 146.30
Fractional coordinates of all 18 atoms:
Sr1 0.151 0.849 0.750
Sr2 0.849 0.151 0.250
In1 0.000 0.000 0.000
In2 0.000 0.000 0.500
In3 0.198 0.802 0.065
In4 0.198 0.802 0.435
In5 0.442 0.558 0.649
In6 0.442 0.558 0.851
In7 0.558 0.442 0.149
In8 0.558 0.442 0.351
In9 0.802 0.198 0.565
In10 0.802 0.198 0.935
Ag1 0.145 0.855 0.250
Ag2 0.385 0.615 0.062
Ag3 0.385 0.615 0.438
Ag4 0.615 0.385 0.562
Ag5 0.615 0.385 0.938
Ag6 0.855 0.145 0.750

2.
Structure and computed powder diffraction line list of Ac3Ag2 (a crystal structure in Alexandria, relaxed with GGA-PBE; a wavelength of 1.5418 Å).
No peak broadening, texture or thermal motion is included.

Most intense lines, 2θ = 15–90°, low angle first:
two_theta, I (rel.)
22.43, 94
27.91, 152
30.59, 1000
31.93, 695
33.61, 269
45.78, 259
56.07, 376
57.24, 146
57.98, 112
75.90, 117

Structural model:
abc: 3.964 3.964 21.621
angles: 90.00 90.00 90.00
Fractional coordinates of all 10 atoms:
Ac1 0.000 0.000 0.000
Ac2 0.000 0.000 0.184
Ac3 0.000 0.000 0.366
Ac4 0.000 0.000 0.634
Ac5 0.000 0.000 0.816
Ac6 0.500 0.500 0.500
Ag1 0.500 0.500 0.092
Ag2 0.500 0.500 0.275
Ag3 0.500 0.500 0.725
Ag4 0.500 0.500 0.908